# 1
Structure and computed XRD peak list of Tl2WCl6 (a GGA-PBE-relaxed structure; Cu Kα (λ = 1.5418 Å)).
Peak positions follow from Bragg's law for the DFT cell and can differ from measured ones.

Crystal structure
```
data_Tl2WCl6
_chemical_formula_sum 'Tl8 W4 Cl24'
_symmetry_space_group_name_H-M 'F m -3 m'
_symmetry_Int_Tables_number 225
_symmetry_space_group_name_Hall '-F 4 2 3'
_cell_length_a 10.0714
_cell_length_b 10.0714
_cell_length_c 10.0714
_cell_angle_alpha 90.00
_cell_angle_beta 90.00
_cell_angle_gamma 90.00
loop_
_atom_site_label
_atom_site_type_symbol
_atom_site_fract_x
_atom_site_fract_y
_atom_site_fract_z
Tl1 Tl 0.2500 0.2500 0.2500
W1 W 0.0000 0.0000 0.0000
Cl1 Cl 0.0000 0.0000 0.2376
```

Largest 10 diffraction maxima, low angle first, 2θ from 15° to 90°:
d_spacing  2θ/deg  I_rel  h k l
5.815  15.24  33  1 1 1
3.561  25.01  100  2 2 0
3.037  29.41  16  3 1 1
2.907  30.75  29  2 2 2
2.518  35.66  49  4 0 0
2.056  44.05  46  4 2 2
1.780  51.32  34  4 4 0
1.592  57.91  22  6 2 0
1.346  69.89  25  6 4 2
1.126  86.42  15  8 4 0

# 2
Structure and computed XRD peak list of Ba3LaY2Cu6O14 (a GGA-PBE-relaxed structure; Cu Kα (λ = 1.5418 Å)).
Peak positions follow from Bragg's law for the DFT cell and can differ from measured ones.

Crystal structure
```
data_Ba3LaY2Cu6O14
_chemical_formula_sum 'Ba12 La4 Y8 Cu24 O56'
_symmetry_space_group_name_H-M 'F m m 2'
_symmetry_Int_Tables_number 42
_symmetry_space_group_name_Hall 'F 2 -2'
_cell_length_a 7.6381
_cell_length_b 7.8698
_cell_length_c 23.3070
_cell_angle_alpha 90.00
_cell_angle_beta 90.00
_cell_angle_gamma 90.00
loop_
_atom_site_label
_atom_site_type_symbol
_atom_site_fract_x
_atom_site_fract_y
_atom_site_fract_z
Ba1 Ba 0.0000 0.0000 0.0000
Ba2 Ba 0.0000 0.0000 0.1850
Ba3 Ba 0.0000 0.0000 0.5017
La1 La 0.0000 0.0000 0.6830
Y1 Y 0.0000 0.0000 0.3420
Y2 Y 0.0000 0.0000 0.8415
Cu1 Cu 0.2500 0.2500 0.0943
Cu2 Cu 0.2500 0.2500 0.2703
Cu3 Cu 0.2500 0.2500 0.4136
O1 O 0.0000 0.2452 0.7780
O2 O 0.0000 0.2492 0.4008
O3 O 0.2144 0.0000 0.6012
O4 O 0.2465 0.0000 0.7777
O5 O 0.2501 0.0000 0.4031
O6 O 0.2500 0.2500 0.0140
O7 O 0.2500 0.2500 0.1752
```

Largest 10 diffraction maxima, low angle first, 2θ from 15° to 90°:
d_spacing  2θ/deg  I_rel  h k l
2.764  32.39  91  0 2 6
2.741  32.68  100  2 2 0
2.723  32.89  100  2 0 6
2.239  40.27  24  2 2 6
1.967  46.14  32  0 4 0
1.910  47.62  28  4 0 0
1.595  57.81  39  2 4 6
1.585  58.22  32  2 2 12
1.571  58.77  34  4 2 6
1.370  68.47  17  4 4 0